No. 1
The following is a calculated powder X-ray diffraction pattern of TbCrO4. It was derived from DFT lattice parameters and positions (GGA+U), using Cu Kα, 1.54184 Å.

Principal peaks in the range 10 to 80 degrees two-theta, low angle first:
18.65 deg, rel. 36
24.58 deg, rel. 100
33.36 deg, rel. 69
35.04 deg, rel. 22
49.15 deg, rel. 58
61.78 deg, rel. 17

Crystal structure
```
data_TbCrO4
_chemical_formula_sum 'Tb4 Cr4 O16'
_symmetry_space_group_name_H-M 'I 41/a m d'
_symmetry_Int_Tables_number 141
_cell_length_a 7.2437
_cell_length_b 7.2437
_cell_length_c 6.3096
_cell_angle_alpha 90.00
_cell_angle_beta 90.00
_cell_angle_gamma 90.00
loop_
_symmetry_equiv_pos_as_xyz
'x,y,z'
'-x,-y,-z'
'-y+1/4,x+3/4,z+1/4'
'y+1/4,-x+3/4,-z+1/4'
'-x+1/2,-y,z+1/2'
'x+1/2,y,-z+1/2'
'y+1/4,-x+1/4,z+3/4'
'-y+1/4,x+1/4,-z+3/4'
'x,-y,-z'
'-x,y,z'
'-y+1/4,-x+1/4,-z+3/4'
'y+1/4,x+1/4,z+3/4'
'-x+1/2,y,-z+1/2'
'x+1/2,-y,z+1/2'
'y+1/4,x+3/4,-z+1/4'
'-y+1/4,-x+3/4,z+1/4'
'x+1/2,y+1/2,z+1/2'
'-x+1/2,-y+1/2,-z+1/2'
'-y+3/4,x+1/4,z+3/4'
'y+3/4,-x+1/4,-z+3/4'
'-x,-y+1/2,z'
'x,y+1/2,-z'
'y+3/4,-x+3/4,z+1/4'
'-y+3/4,x+3/4,-z+1/4'
'x+1/2,-y+1/2,-z+1/2'
'-x+1/2,y+1/2,z+1/2'
'-y+3/4,-x+3/4,-z+1/4'
'y+3/4,x+3/4,z+1/4'
'-x,y+1/2,-z'
'x,-y+1/2,z'
'y+3/4,x+1/4,-z+3/4'
'-y+3/4,-x+1/4,z+3/4'
loop_
_atom_site_label
_atom_site_fract_x
_atom_site_fract_y
_atom_site_fract_z
Tb1 0.0000 0.2500 0.3750
Cr1 0.0000 0.2500 0.8750
O1 0.0000 0.0664 0.7011
```

No. 2
The following is a calculated powder X-ray diffraction pattern of Mn2SiO4. It was derived from DFT lattice parameters and positions (GGA+U), using Cu Kα, 1.54184 Å.

Principal peaks in the range 10 to 80 degrees two-theta, low angle first:
24.27 deg, rel. 54
30.79 deg, rel. 86
32.79 deg, rel. 31
33.96 deg, rel. 65
34.62 deg, rel. 100
49.72 deg, rel. 72

Crystal structure
```
data_Mn2SiO4
_chemical_formula_sum 'Mn8 Si4 O16'
_symmetry_space_group_name_H-M 'P n m a'
_symmetry_Int_Tables_number 62
_symmetry_space_group_name_Hall '-P 2ac 2n'
_cell_length_a 10.7583
_cell_length_b 6.3409
_cell_length_c 4.9485
_cell_angle_alpha 90.00
_cell_angle_beta 90.00
_cell_angle_gamma 90.00
loop_
_atom_site_label
_atom_site_fract_x
_atom_site_fract_y
_atom_site_fract_z
Mn1 0.0000 0.0000 0.0000
Mn2 0.2201 0.2500 0.4889
Si1 0.0960 0.7500 0.4271
O1 0.0466 0.2500 0.7106
O2 0.0937 0.7500 0.7582
O3 0.1634 0.5416 0.2868
```

No. 3
The following is a calculated powder X-ray diffraction pattern of Ba2NdCoCu2O7. It was derived from DFT lattice parameters and positions (GGA+U), using Cu Kα, 1.54184 Å.

Principal peaks in the range 10 to 80 degrees two-theta, low angle first:
31.91 deg, rel. 89
32.04 deg, rel. 100
32.20 deg, rel. 96
39.52 deg, rel. 32
57.15 deg, rel. 37
57.40 deg, rel. 33

Crystal structure
```
data_Ba2NdCoCu2O7
_chemical_formula_sum 'Ba2 Nd1 Co1 Cu2 O7'
_symmetry_space_group_name_H-M 'P m m m'
_symmetry_Int_Tables_number 47
_symmetry_space_group_name_Hall '-P 2 2'
_cell_length_a 3.9158
_cell_length_b 3.9467
_cell_length_c 11.9605
_cell_angle_alpha 90.00
_cell_angle_beta 90.00
_cell_angle_gamma 90.00
loop_
_atom_site_label
_atom_site_fract_x
_atom_site_fract_y
_atom_site_fract_z
Ba1 0.0000 0.0000 0.1839
Nd1 0.0000 0.0000 0.5000
Co1 0.5000 0.5000 0.0000
Cu1 0.5000 0.5000 0.3565
O1 0.0000 0.5000 0.3717
O2 0.5000 0.0000 0.0000
O3 0.5000 0.0000 0.3718
O4 0.5000 0.5000 0.1506
```

No. 4
The following is a calculated powder X-ray diffraction pattern of MgCrCo2O6. It was derived from DFT lattice parameters and positions (GGA+U), using Cu Kα, 1.54184 Å.

Principal peaks in the range 10 to 80 degrees two-theta, low angle first:
18.49 deg, rel. 100
35.14 deg, rel. 29
37.19 deg, rel. 12
42.65 deg, rel. 61
44.69 deg, rel. 25
63.38 deg, rel. 16

Crystal structure
```
data_MgCrCo2O6
_chemical_formula_sum 'Mg1 Cr1 Co2 O6'
_symmetry_space_group_name_H-M 'P 1'
_symmetry_Int_Tables_number 1
_symmetry_space_group_name_Hall 'P 1'
_cell_length_a 3.0111
_cell_length_b 5.9696
_cell_length_c 6.4334
_cell_angle_alpha 103.14
_cell_angle_beta 103.44
_cell_angle_gamma 90.11
loop_
_atom_site_label
_atom_site_fract_x
_atom_site_fract_y
_atom_site_fract_z
Mg1 0.0000 0.0000 0.0000
Cr1 0.3416 0.1907 0.6395
Co1 0.0061 0.5024 0.0051
Co2 0.6802 0.8056 0.3552
O1 0.1553 0.5846 0.3079
O2 0.1747 0.0482 0.3404
O3 0.4767 0.2436 0.9657
O4 0.5134 0.7526 0.0203
O5 0.8311 0.4005 0.6799
O6 0.8450 0.9652 0.6580
```

No. 5
The following is a calculated powder X-ray diffraction pattern of Li9Mn2Co5O16. It was derived from DFT lattice parameters and positions (GGA+U), using Cu Kα, 1.54184 Å.

Principal peaks in the range 10 to 80 degrees two-theta, low angle first:
18.40 deg, rel. 100
35.73 deg, rel. 14
36.56 deg, rel. 24
43.11 deg, rel. 27
44.24 deg, rel. 51
63.65 deg, rel. 14

Crystal structure
```
data_Li9Mn2Co5O16
_chemical_formula_sum 'Li9 Mn2 Co5 O16'
_symmetry_space_group_name_H-M 'P 1'
_symmetry_Int_Tables_number 1
_symmetry_space_group_name_Hall 'P 1'
_cell_length_a 4.9894
_cell_length_b 5.8495
_cell_length_c 9.8096
_cell_angle_alpha 99.42
_cell_angle_beta 94.35
_cell_angle_gamma 91.12
loop_
_atom_site_label
_atom_site_fract_x
_atom_site_fract_y
_atom_site_fract_z
Li1 0.0000 0.0000 0.0000
Li2 0.9999 0.4907 0.9985
Li3 0.1252 0.1785 0.7670
Li4 0.2540 0.8778 0.5324
Li5 0.2568 0.3600 0.5326
Li6 0.4786 0.2398 0.0023
Li7 0.4978 0.7424 0.0066
Li8 0.7455 0.6178 0.5319
Li9 0.7644 0.1203 0.5380
Mn1 0.8719 0.3062 0.2681
Mn2 0.8729 0.8061 0.2682
Co1 0.1186 0.6797 0.7661
Co2 0.3718 0.5575 0.2656
Co3 0.3729 0.0547 0.2696
Co4 0.6119 0.4253 0.7717
Co5 0.6267 0.9350 0.7675
O1 0.0527 0.5869 0.3736
O2 0.0721 0.0640 0.3843
O3 0.1887 0.7772 0.1624
O4 0.1964 0.2711 0.1610
O5 0.3205 0.4653 0.8871
O6 0.3235 0.9456 0.8789
O7 0.4453 0.6644 0.6533
O8 0.4580 0.1399 0.6528
O9 0.5455 0.3407 0.3732
O10 0.5554 0.8347 0.3724
O11 0.6754 0.5502 0.1534
O12 0.6925 0.0256 0.1631
O13 0.7881 0.1963 0.8831
O14 0.8056 0.7270 0.8828
O15 0.9119 0.8962 0.6549
O16 0.9358 0.4157 0.6512
```

No. 6
The following is a calculated powder X-ray diffraction pattern of RbLuMo2O8. It was derived from DFT lattice parameters and positions (GGA+U), using Cu Kα, 1.54184 Å.

Principal peaks in the range 10 to 80 degrees two-theta, low angle first:
14.39 deg, rel. 29
27.93 deg, rel. 100
28.08 deg, rel. 20
29.02 deg, rel. 79
30.79 deg, rel. 37
47.01 deg, rel. 19

Crystal structure
```
data_RbLuMo2O8
_chemical_formula_sum 'Rb4 Lu4 Mo8 O32'
_symmetry_space_group_name_H-M 'C 1 2/c 1'
_symmetry_Int_Tables_number 15
_symmetry_space_group_name_Hall '-C 2yc'
_cell_length_a 10.7316
_cell_length_b 10.3575
_cell_length_c 7.6774
_cell_angle_alpha 90.00
_cell_angle_beta 130.83
_cell_angle_gamma 90.00
loop_
_atom_site_label
_atom_site_fract_x
_atom_site_fract_y
_atom_site_fract_z
Rb1 0.0000 0.1978 0.2500
Lu1 0.0000 0.2284 0.7500
Mo1 0.1971 0.5004 0.2358
O1 0.0227 0.3891 0.9658
O2 0.1262 0.0825 0.6942
O3 0.1906 0.4241 0.4394
O4 0.2219 0.1586 0.1192
```

Please write out number 6 again, unchanged.
The following is a calculated powder X-ray diffraction pattern of RbLuMo2O8. It was derived from DFT lattice parameters and positions (GGA+U), using Cu Kα, 1.54184 Å.

Principal peaks in the range 10 to 80 degrees two-theta, low angle first:
14.39 deg, rel. 29
27.93 deg, rel. 100
28.08 deg, rel. 20
29.02 deg, rel. 79
30.79 deg, rel. 37
47.01 deg, rel. 19

Crystal structure
```
data_RbLuMo2O8
_chemical_formula_sum 'Rb4 Lu4 Mo8 O32'
_symmetry_space_group_name_H-M 'C 1 2/c 1'
_symmetry_Int_Tables_number 15
_symmetry_space_group_name_Hall '-C 2yc'
_cell_length_a 10.7316
_cell_length_b 10.3575
_cell_length_c 7.6774
_cell_angle_alpha 90.00
_cell_angle_beta 130.83
_cell_angle_gamma 90.00
loop_
_atom_site_label
_atom_site_fract_x
_atom_site_fract_y
_atom_site_fract_z
Rb1 0.0000 0.1978 0.2500
Lu1 0.0000 0.2284 0.7500
Mo1 0.1971 0.5004 0.2358
O1 0.0227 0.3891 0.9658
O2 0.1262 0.0825 0.6942
O3 0.1906 0.4241 0.4394
O4 0.2219 0.1586 0.1192
```

What is the formula in the sixth record? RbLuMo2O8

Which formula does entry 6 have? RbLuMo2O8